CoH16C6N2Cl4: computed PXRD pattern (a wavelength of 1.5418 Å), based on a structure optimized by DFT (GGA-PBE).
Lines closer than 0.1° are merged.

Peak list (8 most intense, 10° ≤ 2θ ≤ 80°, in order of falling intensity)
2theta	I (rel.)
19.87	100.0
14.86	96.5
29.54	83.0
18.13	74.7
24.42	50.4
19.67	40.1
29.92	38.1
23.84	28.4

Atomic structure:
```
CoH16C6N2Cl4
1.0
3.7539 -5.9611 0.0000
3.7539 5.9611 0.0000
-1.4950 0.0000 13.8173
Co H C N Cl
2 32 12 4 8
Direct
0.0297 0.9703 0.7500 Co
0.9703 0.0297 0.2500 Co
0.1637 0.7331 0.4328 H
0.1704 0.5445 0.3437 H
0.1839 0.3191 0.4798 H
0.1837 0.6401 0.1492 H
0.1971 0.5132 0.5723 H
0.2133 0.4880 0.9873 H
0.2669 0.8363 0.0672 H
0.2796 0.3436 0.1250 H
0.3191 0.1839 0.9798 H
0.3436 0.2796 0.6250 H
0.3599 0.8163 0.3508 H
0.4555 0.8296 0.1563 H
0.4605 0.4810 0.8585 H
0.4810 0.4605 0.3585 H
0.4868 0.8029 0.9277 H
0.4880 0.2133 0.4873 H
0.5120 0.7867 0.5127 H
0.5132 0.1971 0.0723 H
0.5190 0.5395 0.6415 H
0.5395 0.5190 0.1415 H
0.5445 0.1704 0.8437 H
0.6401 0.1837 0.6492 H
0.6564 0.7204 0.3750 H
0.6809 0.8161 0.0202 H
0.7204 0.6564 0.8750 H
0.7331 0.1637 0.9328 H
0.7867 0.5120 0.0127 H
0.8029 0.4868 0.4277 H
0.8163 0.3599 0.8508 H
0.8161 0.6809 0.5202 H
0.8296 0.4555 0.6563 H
0.8363 0.2669 0.5672 H
0.2686 0.6854 0.3932 C
0.2905 0.4635 0.5252 C
0.3146 0.7314 0.1068 C
0.3571 0.5869 0.0351 C
0.4131 0.6429 0.4649 C
0.4635 0.2905 0.0252 C
0.5365 0.7095 0.9748 C
0.5869 0.3571 0.5351 C
0.6429 0.4131 0.9649 C
0.6854 0.2686 0.8932 C
0.7095 0.5365 0.4748 C
0.7314 0.3146 0.6068 C
0.4110 0.4351 0.0892 N
0.4351 0.4110 0.5892 N
0.5649 0.5890 0.4108 N
0.5890 0.5649 0.9108 N
0.0817 0.8207 0.8809 Cl
0.1649 0.3265 0.7775 Cl
0.1793 0.9183 0.6191 Cl
0.3265 0.1649 0.2775 Cl
0.6735 0.8351 0.7225 Cl
0.8207 0.0817 0.3809 Cl
0.8351 0.6735 0.2225 Cl
0.9183 0.1793 0.1191 Cl
```